The following is a theoretical powder diffraction line list of VAs2O8. It was derived from a crystal structure in Alexandria, relaxed with GGA+U, using copper Kα.
Kinematic intensities with the Lorentz-polarization factor, no thermal factor.

Structure:
Unit cell a=5.3817 b=5.3817 c=6.5362 alpha=90.00 beta=90.00 gamma=120.00
Space group P-3m1 (No. 164)
Unique sites:
V: 0.0000 0.0000 0.0000
As: 0.3333 0.6667 0.7349
O: 0.1620 0.3239 0.8308
O: 0.3333 0.6667 0.4767

The 6 most intense peaks (2θ from 10° to 90°), by angle:
2θ = 23.4°, rel. 100.0, (1 0 1); 2θ = 33.3°, rel. 27.1, (1 1 0); 2θ = 33.5°, rel. 12.5, (1 0 2); 2θ = 46.0°, rel. 10.5, (0 1 3); 2θ = 47.9°, rel. 11.3, (2 0 2); 2θ = 53.9°, rel. 18.5, (2 1 1)